1.
This entry pairs a crystal structure of RbBiBr6 with its simulated PXRD pattern. Radiation: CuKα. Structure: a structure optimized by DFT (GGA-PBE).
Peak positions follow from Bragg's law for the DFT cell and can differ from measured ones.

Principal peaks in the range 10° ≤ 2θ ≤ 90°, by angle:
two_theta  d (Å)  I/Imax
12.36  7.163  37
14.28  6.203  100
28.78  3.102  47
32.27  2.774  46
37.67  2.388  19
41.16  2.193  31
43.78  2.068  24
52.69  1.737  12
53.24  1.720  16
61.65  1.505  12
67.53  1.387  10
84.02  1.152  11

Structure:
```
data_RbBiBr6
_chemical_formula_sum 'Rb4 Bi4 Br24'
_cell_length_a 12.4066
_cell_length_b 12.4066
_cell_length_c 12.4066
_cell_angle_alpha 90.00
_cell_angle_beta 90.00
_cell_angle_gamma 90.00
_space_group_name_H-M_alt 'F m -3 m'
_space_group_IT_number 225
_space_group_name_Hall '-F 4 2 3'
loop_
_atom_site_label
_atom_site_fract_x
_atom_site_fract_y
_atom_site_fract_z
Rb1 0.0000 0.0000 0.0000
Bi1 0.0000 0.0000 0.5000
Br1 0.0000 0.0000 0.2810
```

2.
This entry pairs a crystal structure of TlB3O6 with its simulated PXRD pattern. Radiation: CuKα. Structure: a structure optimized by DFT (GGA-PBE).
Peak positions follow from Bragg's law for the DFT cell and can differ from measured ones.

Principal peaks in the range 10° ≤ 2θ ≤ 90°, by angle:
two_theta  d (Å)  I/Imax
17.58  5.045  100
21.33  4.165  48
22.90  3.884  31
28.15  3.170  30
29.01  3.078  61
31.49  2.841  51
35.29  2.543  23
35.59  2.523  24
42.48  2.128  37
42.74  2.116  36
44.22  2.048  22
50.35  1.812  44

Structure:
```
data_TlB3O6
_chemical_formula_sum 'Tl4 B12 O24'
_cell_length_a 6.3400
_cell_length_b 8.3302
_cell_length_c 7.7683
_cell_angle_alpha 90.00
_cell_angle_beta 90.00
_cell_angle_gamma 90.00
_space_group_name_H-M_alt 'I b a m'
_space_group_IT_number 72
_space_group_name_Hall '-I 2 2c'
loop_
_atom_site_label
_atom_site_fract_x
_atom_site_fract_y
_atom_site_fract_z
Tl1 0.0000 0.0000 0.2500
B1 0.0000 0.5000 0.2500
B2 0.1165 0.3147 0.0000
O1 0.0653 0.1559 0.0000
O2 0.1463 0.3970 0.1531
```

3.
This entry pairs a crystal structure of HfTi4Ni2 with its simulated PXRD pattern. Radiation: CuKα. Structure: a structure optimized by DFT (GGA-PBE).
Peak positions follow from Bragg's law for the DFT cell and can differ from measured ones.

Principal peaks in the range 10° ≤ 2θ ≤ 90°, by angle:
two_theta  d (Å)  I/Imax
12.95  6.838  31
29.31  3.047  20
31.56  2.835  49
34.15  2.626  24
36.75  2.446  100
39.60  2.276  32
44.20  2.049  54
45.54  1.992  22
60.81  1.523  22
64.29  1.449  16
65.35  1.428  13
76.40  1.247  21

Structure:
```
data_HfTi4Ni2
_chemical_formula_sum 'Hf2 Ti8 Ni4'
_cell_length_a 4.0964
_cell_length_b 13.6753
_cell_length_c 4.1003
_cell_angle_alpha 90.00
_cell_angle_beta 90.00
_cell_angle_gamma 90.00
_space_group_name_H-M_alt 'C m m m'
_space_group_IT_number 65
_space_group_name_Hall '-C 2 2'
loop_
_atom_site_label
_atom_site_fract_x
_atom_site_fract_y
_atom_site_fract_z
Hf1 0.0000 0.0000 0.0000
Ti1 0.0000 0.1806 0.5000
Ti2 0.0000 0.3221 0.0000
Ni1 0.0000 0.4190 0.5000
```

4.
This entry pairs a crystal structure of Pm2Tm3Ga2 with its simulated PXRD pattern. Radiation: CuKα. Structure: a structure optimized by DFT (GGA-PBE).
Peak positions follow from Bragg's law for the DFT cell and can differ from measured ones.

Principal peaks in the range 10° ≤ 2θ ≤ 90°, by angle:
two_theta  d (Å)  I/Imax
26.92  3.312  29
30.05  2.973  50
30.92  2.892  100
31.79  2.815  38
32.36  2.766  45
33.00  2.714  38
33.72  2.658  32
34.75  2.582  55
36.93  2.434  23
38.91  2.315  23
43.29  2.090  36
54.68  1.679  21

Structure:
```
data_Pm2Tm3Ga2
_chemical_formula_sum 'Pm4 Tm6 Ga4'
_cell_length_a 12.0578
_cell_length_b 4.1803
_cell_length_c 8.4704
_cell_angle_alpha 90.00
_cell_angle_beta 113.39
_cell_angle_gamma 90.00
_space_group_name_H-M_alt 'C 1 2/m 1'
_space_group_IT_number 12
loop_
_space_group_symop_operation_xyz
'x,y,z'
'-x,-y,-z'
'-x,y,-z'
'x,-y,z'
'x+1/2,y+1/2,z'
'-x+1/2,-y+1/2,-z'
'-x+1/2,y+1/2,-z'
'x+1/2,-y+1/2,z'
loop_
_atom_site_label
_atom_site_fract_x
_atom_site_fract_y
_atom_site_fract_z
Pm1 0.1477 0.0000 0.3059
Tm1 0.0000 0.5000 0.5000
Tm2 0.1226 0.5000 0.9397
Ga1 0.1686 0.0000 0.7137
```

5.
This entry pairs a crystal structure of ZrSc2TaH with its simulated PXRD pattern. Radiation: CuKα. Structure: a structure optimized by DFT (GGA-PBE).
Peak positions follow from Bragg's law for the DFT cell and can differ from measured ones.

Principal peaks in the range 10° ≤ 2θ ≤ 90°, by angle:
two_theta  d (Å)  I/Imax
19.41  4.573  26
20.31  4.373  11
28.88  3.092  21
35.03  2.561  100
39.41  2.286  18
41.30  2.186  32
46.02  1.972  12
58.40  1.580  22
59.83  1.546  10
68.65  1.367  13
71.25  1.324  24
74.02  1.281  11

Structure:
```
data_ZrSc2TaH
_chemical_formula_sum 'Zr1 Sc2 Ta1 H1'
_cell_length_a 4.3725
_cell_length_b 4.3725
_cell_length_c 4.5726
_cell_angle_alpha 90.00
_cell_angle_beta 90.00
_cell_angle_gamma 90.00
_space_group_name_H-M_alt 'P 4/m m m'
_space_group_IT_number 123
_space_group_name_Hall '-P 4 2'
loop_
_atom_site_label
_atom_site_fract_x
_atom_site_fract_y
_atom_site_fract_z
Zr1 0.0000 0.0000 0.0000
Sc1 0.0000 0.5000 0.5000
Ta1 0.5000 0.5000 0.0000
H1 0.5000 0.5000 0.5000
```

6.
This entry pairs a crystal structure of Na5Cu3P4O16 with its simulated PXRD pattern. Radiation: CuKα. Structure: a structure optimized by DFT (GGA-PBE).
Peak positions follow from Bragg's law for the DFT cell and can differ from measured ones.

Principal peaks in the range 10° ≤ 2θ ≤ 90°, by angle:
two_theta  d (Å)  I/Imax
11.85  7.467  100
24.37  3.652  16
26.02  3.424  41
29.59  3.019  24
31.35  2.853  19
32.04  2.794  16
32.81  2.730  30
33.87  2.647  26
34.16  2.625  25
35.16  2.552  59
40.32  2.237  12
58.76  1.571  13

Structure:
```
data_Na5Cu3P4O16
_chemical_formula_sum 'Na5 Cu3 P4 O16'
_cell_length_a 5.1077
_cell_length_b 8.6077
_cell_length_c 9.2834
_cell_angle_alpha 62.92
_cell_angle_beta 89.27
_cell_angle_gamma 74.02
_space_group_name_H-M_alt 'P -1'
_space_group_IT_number 2
loop_
_space_group_symop_operation_xyz
'x,y,z'
'-x,-y,-z'
loop_
_atom_site_label
_atom_site_fract_x
_atom_site_fract_y
_atom_site_fract_z
Na1 0.0000 0.0000 0.0000
Na2 0.2900 0.4690 0.2521
Na3 0.3387 0.3479 0.6381
Cu1 0.1421 0.7564 0.7926
Cu2 0.5000 0.0000 0.5000
P1 0.0672 0.8167 0.4343
P2 0.2834 0.3119 0.9769
O1 0.0204 0.7014 0.0030
O2 0.0282 0.9866 0.2663
O3 0.2045 0.6437 0.4185
O4 0.2128 0.2006 0.4984
O5 0.2497 0.5090 0.8253
O6 0.2504 0.8319 0.5627
O7 0.4156 0.2811 0.1374
O8 0.4373 0.1853 0.9098
```

7.
This entry pairs a crystal structure of PrY2Hg8 with its simulated PXRD pattern. Radiation: CuKα. Structure: a structure optimized by DFT (GGA-PBE).
Peak positions follow from Bragg's law for the DFT cell and can differ from measured ones.

Principal peaks in the range 10° ≤ 2θ ≤ 90°, by angle:
two_theta  d (Å)  I/Imax
24.26  3.668  7
25.07  3.552  6
32.19  2.780  16
34.91  2.570  100
36.51  2.461  17
36.66  2.451  9
51.46  1.776  13
51.57  1.772  7
62.68  1.482  15
64.67  1.441  8
68.91  1.363  7
70.54  1.335  7

Structure:
```
data_PrY2Hg8
_chemical_formula_sum 'Pr2 Y4 Hg16'
_cell_length_a 5.1301
_cell_length_b 7.4567
_cell_length_c 14.7671
_cell_angle_alpha 90.00
_cell_angle_beta 90.00
_cell_angle_gamma 90.00
_space_group_name_H-M_alt 'I m m m'
_space_group_IT_number 71
_space_group_name_Hall '-I 2 2'
loop_
_atom_site_label
_atom_site_fract_x
_atom_site_fract_y
_atom_site_fract_z
Pr1 0.0000 0.0000 0.0000
Y1 0.0000 0.0000 0.3084
Hg1 0.0000 0.2046 0.5000
Hg2 0.0000 0.2886 0.1516
Hg3 0.0000 0.5000 0.3429
```

8.
This entry pairs a crystal structure of RbCeVS4 with its simulated PXRD pattern. Radiation: CuKα. Structure: a structure optimized by DFT (GGA-PBE).
Peak positions follow from Bragg's law for the DFT cell and can differ from measured ones.

Principal peaks in the range 10° ≤ 2θ ≤ 90°, by angle:
two_theta  d (Å)  I/Imax
10.14  8.724  100
19.50  4.553  68
24.53  3.629  35
24.99  3.563  42
27.28  3.269  60
28.14  3.171  46
29.34  3.044  44
31.35  2.853  70
32.44  2.760  50
34.28  2.616  35
39.38  2.288  27
39.59  2.276  54

Structure:
```
data_RbCeVS4
_chemical_formula_sum 'Rb2 Ce2 V2 S8'
_cell_length_a 6.6607
_cell_length_b 6.5385
_cell_length_c 9.1596
_cell_angle_alpha 90.00
_cell_angle_beta 107.75
_cell_angle_gamma 90.00
_space_group_name_H-M_alt 'P 1 21/m 1'
_space_group_IT_number 11
loop_
_space_group_symop_operation_xyz
'x,y,z'
'-x,-y,-z'
'-x,y+1/2,-z'
'x,-y+1/2,z'
loop_
_atom_site_label
_atom_site_fract_x
_atom_site_fract_y
_atom_site_fract_z
Rb1 0.2275 0.2500 0.4370
Ce1 0.2639 0.2500 0.9495
V1 0.2786 0.7500 0.1715
S1 0.0796 0.7500 0.3246
S2 0.0832 0.7500 0.9292
S3 0.4952 0.5067 0.7957
```